Entry 1:
Calculated X-ray diffraction stick pattern
Compound: BeInIr2
Radiation: a wavelength of 1.5418 Å
Structure: a structure optimized by DFT (GGA-PBE)
Peak positions follow from Bragg's law for the DFT cell and can differ from measured ones.

Atomic structure:
```
data_BeInIr2
_symmetry_space_group_name_H-M 'P m m 2'
_symmetry_Int_Tables_number 25
_cell_length_a 2.802
_cell_length_b 3.575
_cell_length_c 6.063
_cell_angle_alpha 90.00
_cell_angle_beta 90.00
_cell_angle_gamma 90.00
loop_
_symmetry_equiv_pos_as_xyz
'x,y,z'
'-x,-y,z'
'-x,y,z'
'x,-y,z'
loop_
_atom_site_label
_atom_site_type_symbol
_atom_site_fract_x
_atom_site_fract_y
_atom_site_fract_z
Be1 Be 0.000 0.000 0.000
In1 In 0.500 0.500 0.342
Ir1 Ir 0.000 0.000 0.614
Ir2 Ir 0.500 0.500 0.891
```

Main lines, by angle (10 to 90 degrees two-theta):
- 2θ = 14.6°, d = 6.063 Å, I 553, hkl 0 0 1
- 2θ = 29.0°, d = 3.079 Å, I 548, hkl 0 1 1
- 2θ = 35.3°, d = 2.543 Å, I 330, hkl 1 0 1
- 2θ = 39.0°, d = 2.312 Å, I 1000, hkl 0 1 2
- 2θ = 40.9°, d = 2.205 Å, I 944, hkl 1 1 0
- 2θ = 44.0°, d = 2.058 Å, I 710, hkl 1 0 2
- 2θ = 51.1°, d = 1.787 Å, I 248, hkl 0 2 0
- 2θ = 62.3°, d = 1.490 Å, I 248, hkl 1 1 3
- 2θ = 69.7°, d = 1.349 Å, I 363, hkl 1 2 2
- 2θ = 80.1°, d = 1.198 Å, I 249, hkl 2 1 2



Entry 2:
Calculated X-ray diffraction stick pattern
Compound: KBe4In
Radiation: a wavelength of 1.5418 Å
Structure: a structure optimized by DFT (GGA-PBE)
Peak positions follow from Bragg's law for the DFT cell and can differ from measured ones.

Atomic structure:
```
data_KBe4In
_symmetry_space_group_name_H-M 'F -4 3 m'
_symmetry_Int_Tables_number 216
_symmetry_space_group_name_Hall 'F -4 2 3'
_cell_length_a 7.122
_cell_length_b 7.122
_cell_length_c 7.122
_cell_angle_alpha 90.00
_cell_angle_beta 90.00
_cell_angle_gamma 90.00
loop_
_atom_site_label
_atom_site_type_symbol
_atom_site_fract_x
_atom_site_fract_y
_atom_site_fract_z
K1 K 0.000 0.000 0.000
Be1 Be 0.125 0.125 0.625
In1 In 0.250 0.250 0.250
```

Main lines, by angle (10 to 90 degrees two-theta):
- 2θ = 21.6°, d = 4.112 Å, I 1000, hkl 1 1 1
- 2θ = 25.0°, d = 3.561 Å, I 239, hkl 2 0 0
- 2θ = 35.7°, d = 2.518 Å, I 833, hkl 2 2 0
- 2θ = 42.1°, d = 2.147 Å, I 754, hkl 3 1 1
- 2θ = 56.3°, d = 1.634 Å, I 220, hkl 3 3 1
- 2θ = 64.0°, d = 1.454 Å, I 275, hkl 4 2 2
- 2θ = 68.5°, d = 1.371 Å, I 224, hkl 5 1 1
- 2θ = 75.5°, d = 1.259 Å, I 113, hkl 4 4 0
- 2θ = 79.6°, d = 1.204 Å, I 154, hkl 5 3 1
- 2θ = 86.4°, d = 1.126 Å, I 119, hkl 6 2 0



Entry 3:
Calculated X-ray diffraction stick pattern
Compound: La3BeInS7
Radiation: a wavelength of 1.5418 Å
Structure: a structure optimized by DFT (GGA-PBE)
Peak positions follow from Bragg's law for the DFT cell and can differ from measured ones.

Atomic structure:
```
data_La3BeInS7
_symmetry_space_group_name_H-M 'P 63'
_symmetry_Int_Tables_number 173
_cell_length_a 10.1985
_cell_length_b 10.1985
_cell_length_c 6.2357
_cell_angle_alpha 90.00
_cell_angle_beta 90.00
_cell_angle_gamma 120.00
loop_
_symmetry_equiv_pos_as_xyz
'x,y,z'
'x-y,x,z+1/2'
'-y,x-y,z'
'-x,-y,z+1/2'
'-x+y,-x,z'
'y,-x+y,z+1/2'
loop_
_atom_site_label
_atom_site_type_symbol
_atom_site_fract_x
_atom_site_fract_y
_atom_site_fract_z
La1 La 0.1416 0.3948 0.0000
Be1 Be 0.3333 0.6667 0.4113
In1 In 0.0000 0.0000 0.2964
S1 S 0.0884 0.2387 0.5557
S2 S 0.1136 0.5924 0.2807
S3 S 0.3333 0.6667 0.7585
```

Main lines, by angle (10 to 90 degrees two-theta):
- 2θ = 10.0°, d = 8.832 Å, I 422, hkl 1 0 0
- 2θ = 17.4°, d = 5.094 Å, I 647, hkl 1 0 1
- 2θ = 22.5°, d = 3.947 Å, I 440, hkl 1 1 1
- 2θ = 24.7°, d = 3.604 Å, I 653, hkl 2 0 1
- 2θ = 26.7°, d = 3.338 Å, I 952, hkl 1 2 0
- 2θ = 33.7°, d = 2.661 Å, I 1000, hkl 3 0 1
- 2θ = 35.2°, d = 2.548 Å, I 727, hkl 2 0 2
- 2θ = 39.5°, d = 2.279 Å, I 987, hkl 1 2 2
- 2θ = 47.2°, d = 1.927 Å, I 844, hkl 4 1 0
- 2θ = 66.1°, d = 1.413 Å, I 481, hkl 1 2 4



Entry 4:
Calculated X-ray diffraction stick pattern
Compound: Li2BeInPd
Radiation: a wavelength of 1.5418 Å
Structure: a structure optimized by DFT (GGA-PBE)
Peak positions follow from Bragg's law for the DFT cell and can differ from measured ones.

Atomic structure:
```
data_Li2BeInPd
_symmetry_space_group_name_H-M 'P 4/m m m'
_symmetry_Int_Tables_number 123
_symmetry_space_group_name_Hall '-P 4 2'
_cell_length_a 4.363
_cell_length_b 4.363
_cell_length_c 4.505
_cell_angle_alpha 90.00
_cell_angle_beta 90.00
_cell_angle_gamma 90.00
loop_
_atom_site_label
_atom_site_type_symbol
_atom_site_fract_x
_atom_site_fract_y
_atom_site_fract_z
Li1 Li 0.000 0.500 0.000
Be1 Be 0.000 0.000 0.000
In1 In 0.000 0.000 0.500
Pd1 Pd 0.500 0.500 0.500
```

Main lines, by angle (10 to 90 degrees two-theta):
- 2θ = 19.7°, d = 4.505 Å, I 892, hkl 0 0 1
- 2θ = 28.9°, d = 3.085 Å, I 791, hkl 1 1 0
- 2θ = 35.3°, d = 2.546 Å, I 1000, hkl 1 1 1
- 2θ = 40.0°, d = 2.252 Å, I 194, hkl 0 0 2
- 2θ = 41.4°, d = 2.182 Å, I 352, hkl 2 0 0
- 2θ = 46.2°, d = 1.964 Å, I 382, hkl 2 0 1
- 2θ = 50.1°, d = 1.819 Å, I 332, hkl 1 1 2
- 2θ = 58.9°, d = 1.567 Å, I 242, hkl 2 0 2
- 2θ = 71.5°, d = 1.319 Å, I 242, hkl 3 1 1
- 2θ = 81.9°, d = 1.177 Å, I 156, hkl 3 1 2